For Li3V4O3F9, a PBE+U-relaxed structure gives the calculated powder XRD pattern in this record (CuKα).
Intensities are scaled so that the largest is 1000.

Structure:
a b c (Å): 5.9562 5.9736 6.0868
angles (deg): 99.10 99.69 99.65
Space group P1 (No. 1)
Symmetry-distinct sites (fractional):
Li 0.0000 0.0000 0.0000
Li 0.1519 0.3214 0.6162
Li 0.4266 0.9222 0.7230
V 0.2763 0.6561 0.2197
V 0.5326 0.1833 0.2838
V 0.7432 0.4785 0.9449
V 0.8071 0.7343 0.4510
O 0.5491 0.5003 0.1810
O 0.5485 0.9054 0.4074
O 0.9554 0.7362 0.1902
F 0.0227 0.0058 0.6571
F 0.0796 0.4423 0.9221
F 0.2192 0.2370 0.3013
F 0.2227 0.6412 0.5356
F 0.3225 0.9127 0.0205
F 0.4732 0.2661 0.7325
F 0.6951 0.7393 0.7816
F 0.7603 0.1739 0.0752
F 0.8008 0.4038 0.5234

Top 10 peaks for 2θ = 10–90°, most intense first:
- hkl 0 1 0, 5.768 Å, 2θ = 15.4°, intensity 1000
- hkl 0 2 -1, 2.817 Å, 2θ = 31.8°, intensity 948
- hkl 0 0 1, 5.889 Å, 2θ = 15.0°, intensity 884
- hkl 2 -1 0, 2.809 Å, 2θ = 31.9°, intensity 773
- hkl 1 0 -2, 2.864 Å, 2θ = 31.2°, intensity 768
- hkl 2 -3 1, 1.724 Å, 2θ = 53.1°, intensity 685
- hkl 1 1 1, 2.839 Å, 2θ = 31.5°, intensity 547
- hkl 1 0 -1, 4.595 Å, 2θ = 19.3°, intensity 531
- hkl -3 1 2, 1.733 Å, 2θ = 52.8°, intensity 505
- hkl 1 -1 0, 4.558 Å, 2θ = 19.5°, intensity 499


For Li2VO2F2, a PBE+U-relaxed structure gives the calculated powder XRD pattern in this record (CuKα).
Intensities are scaled so that the largest is 1000.

Structure:
a b c (Å): 5.1284 5.9005 5.0804
angles (deg): 90.00 109.68 90.00
Space group P2/c (No. 13)
Symmetry-distinct sites (fractional):
Li 0.0000 0.1080 0.2500
Li 0.0000 0.3661 0.7500
V 0.5000 0.3828 0.2500
O 0.2778 0.3960 0.4744
F 0.2264 0.1478 0.0180

Top 10 peaks for 2θ = 10–90°, most intense first:
- hkl 1 2 1, 2.084 Å, 2θ = 43.4°, intensity 1000
- hkl 0 1 0, 5.901 Å, 2θ = 15.0°, intensity 598
- hkl 1 1 0, 3.737 Å, 2θ = 23.8°, intensity 503
- hkl 1 1 -1, 3.407 Å, 2θ = 26.2°, intensity 385
- hkl 0 1 1, 3.716 Å, 2θ = 23.9°, intensity 375
- hkl 1 0 0, 4.829 Å, 2θ = 18.4°, intensity 352
- hkl 2 0 2, 1.469 Å, 2θ = 63.3°, intensity 250
- hkl 3 2 -1, 1.479 Å, 2θ = 62.8°, intensity 154
- hkl 0 3 1, 1.820 Å, 2θ = 50.1°, intensity 143
- hkl 0 2 1, 2.511 Å, 2θ = 35.8°, intensity 133


For LiV2OF5, a PBE+U-relaxed structure gives the calculated powder XRD pattern in this record (CuKα).
Intensities are scaled so that the largest is 1000.

Structure:
a b c (Å): 5.2419 5.6005 11.6052
angles (deg): 99.32 103.05 90.00
Space group P1 (No. 1)
Symmetry-distinct sites (fractional):
Li 0.0000 0.0000 0.0000
Li 0.1107 0.1051 0.3256
Li 0.3256 0.2101 0.6512
V 0.0535 0.5199 0.1521
V 0.2270 0.6902 0.4990
V 0.3913 0.8597 0.8457
V 0.5584 0.0276 0.1661
V 0.7179 0.1825 0.4851
V 0.8712 0.3505 0.8055
O 0.3591 0.9470 0.0028
O 0.6819 0.2632 0.6484
O 0.7460 0.1051 0.3256
F 0.0285 0.6051 0.3256
F 0.0648 0.6485 0.7863
F 0.0705 0.4109 0.9874
F 0.0744 0.3763 0.5321
F 0.1850 0.1522 0.7795
F 0.2435 0.2222 0.2043
F 0.3648 0.9880 0.4469
F 0.3737 0.7192 0.1939
F 0.4087 0.7992 0.6638
F 0.4961 0.4795 0.4491
F 0.6041 0.5616 0.8649
F 0.7305 0.0522 0.8627
F 0.7381 0.3247 0.1255
F 0.8679 0.8339 0.1191
F 0.9382 0.8855 0.5256

Top 10 peaks for 2θ = 10–90°, most intense first:
- hkl 1 1 -1, 3.821 Å, 2θ = 23.3°, intensity 1000
- hkl 0 0 3, 3.716 Å, 2θ = 23.9°, intensity 494
- hkl -1 1 3, 2.742 Å, 2θ = 32.7°, intensity 232
- hkl 2 2 -2, 1.910 Å, 2θ = 47.6°, intensity 218
- hkl 1 -3 1, 1.753 Å, 2θ = 52.2°, intensity 174
- hkl 1 -2 2, 2.289 Å, 2θ = 39.4°, intensity 158
- hkl -2 1 2, 2.283 Å, 2θ = 39.5°, intensity 150
- hkl 0 2 -1, 2.791 Å, 2θ = 32.1°, intensity 142
- hkl 2 2 1, 1.739 Å, 2θ = 52.6°, intensity 140
- hkl 3 1 -5, 1.508 Å, 2θ = 61.5°, intensity 137